For AcNd2PuO8, the GGA-PBE geometry in Alexandria gives the computed XRD peak list in this record (Cu Kα).
Intensities are scaled so that the largest is 100.

Atomic structure:
```
data_AcNd2PuO8
_symmetry_space_group_name_H-M 'P 1 2/m 1'
_symmetry_Int_Tables_number 10
_symmetry_space_group_name_Hall '-P 2y'
_cell_length_a 4.169
_cell_length_b 7.722
_cell_length_c 5.603
_cell_angle_alpha 90.00
_cell_angle_beta 96.40
_cell_angle_gamma 90.00
loop_
_atom_site_label
_atom_site_type_symbol
_atom_site_fract_x
_atom_site_fract_y
_atom_site_fract_z
_atom_site_occupancy
Ac1 Ac 0.000 0.000 0.000 1
Nd1 Nd 0.500 0.247 0.500 1
Pu1 Pu 0.000 0.500 0.000 1
O1 O 0.051 0.291 0.765 1
O2 O 0.414 0.500 0.210 1
O3 O 0.487 0.000 0.738 1
```

Most intense lines, 5° ≤ 2θ ≤ 70°, in order of rising 2θ:
- 25.33 deg, d 3.517, intensity 64
- 28.12 deg, d 3.173, intensity 100
- 28.25 deg, d 3.159, intensity 51
- 31.68 deg, d 2.824, intensity 52
- 32.15 deg, d 2.784, intensity 24
- 43.70 deg, d 2.071, intensity 20
- 43.89 deg, d 2.063, intensity 41
- 47.57 deg, d 1.911, intensity 30
- 51.11 deg, d 1.787, intensity 20
- 54.20 deg, d 1.692, intensity 17
- 54.42 deg, d 1.686, intensity 16
- 54.88 deg, d 1.673, intensity 16